No. 1
Simulated powder X-ray diffraction pattern of SmAlBIr2 for Cu Kα (weighted mean of Kα1 and Kα2), from a cell relaxed with GGA-PBE.
No peak broadening, texture or thermal motion is included.

Structure:
Unit cell a=6.0213 b=6.0213 c=7.3097 alpha=90.00 beta=90.00 gamma=140.51
Fractional positions:
1 Sm 0.0546 0.9454 0.7500
2 Sm 0.9454 0.0546 0.2500
3 Al 0.2262 0.7738 0.2500
4 Al 0.7738 0.2262 0.7500
5 B 0.5000 0.5000 0.0000
6 B 0.5000 0.5000 0.5000
7 Ir 0.3334 0.6666 0.5591
8 Ir 0.3334 0.6666 0.9410
9 Ir 0.6666 0.3334 0.0590
10 Ir 0.6666 0.3334 0.4410

The 10 most intense peaks (2θ from 15° to 90°), most intense first:
d/Å, Position (°2θ), I (rel.)
2.643, 33.9, 100
2.769, 32.3, 86
2.239, 40.3, 45
1.505, 61.6, 34
3.392, 26.3, 31
2.034, 44.5, 30
3.072, 29.1, 29
2.056, 44.1, 28
1.537, 60.2, 28
2.207, 40.9, 20

=====

No. 2
Simulated powder X-ray diffraction pattern of K2Al2B2O7 for Cu Kα (weighted mean of Kα1 and Kα2), from a cell relaxed with GGA-PBE.
No peak broadening, texture or thermal motion is included.

Structure:
Unit cell a=8.6566 b=8.6566 c=8.6112 alpha=90.00 beta=90.00 gamma=120.00
Fractional positions:
1 K 0.0000 0.3095 0.0000
2 K 0.0000 0.3574 0.5000
3 K 0.3095 0.0000 0.0000
4 K 0.3574 0.0000 0.5000
5 K 0.6426 0.6426 0.5000
6 K 0.6905 0.6905 0.0000
7 Al 0.0000 0.0000 0.2998
8 Al 0.0000 0.0000 0.7002
9 Al 0.3333 0.6667 0.1847
10 Al 0.3333 0.6667 0.7815
11 Al 0.6667 0.3333 0.2185
12 Al 0.6667 0.3333 0.8153
13 B 0.0011 0.6663 0.7439
14 B 0.3337 0.3348 0.7439
15 B 0.3348 0.3337 0.2561
16 B 0.6652 0.9989 0.7439
17 B 0.6663 0.0011 0.2561
18 B 0.9989 0.6652 0.2561
19 O 0.0000 0.0000 0.5000
20 O 0.0575 0.8432 0.2267
21 O 0.1167 0.6014 0.2537
22 O 0.1568 0.2142 0.2267
23 O 0.1793 0.7284 0.7109
24 O 0.2142 0.1568 0.7733
25 O 0.2716 0.4510 0.7109
26 O 0.3333 0.6667 0.9831
27 O 0.3986 0.5152 0.2537
28 O 0.4510 0.2716 0.2891
29 O 0.4848 0.8833 0.2537
30 O 0.5152 0.3986 0.7463
31 O 0.5490 0.8207 0.7109
32 O 0.6014 0.1167 0.7463
33 O 0.6667 0.3333 0.0169
34 O 0.7284 0.1793 0.2891
35 O 0.7858 0.9425 0.2267
36 O 0.8207 0.5490 0.2891
37 O 0.8432 0.0575 0.7733
38 O 0.8833 0.4848 0.7463
39 O 0.9425 0.7858 0.7733

The 10 most intense peaks (2θ from 15° to 90°), most intense first:
d/Å, Position (°2θ), I (rel.)
3.053, 29.3, 100
2.499, 35.9, 27
2.163, 41.8, 22
2.153, 42.0, 16
1.529, 60.5, 14
2.400, 37.5, 13
3.437, 25.9, 11
4.306, 20.6, 11
2.692, 33.3, 11
1.443, 64.6, 9

=====

No. 3
Simulated powder X-ray diffraction pattern of LaAlB12 for Cu Kα (weighted mean of Kα1 and Kα2), from a cell relaxed with GGA-PBE.
No peak broadening, texture or thermal motion is included.

Structure:
Unit cell a=4.1702 b=4.1702 c=8.3718 alpha=90.00 beta=90.00 gamma=90.00
Fractional positions:
1 La 0.0000 0.0000 0.0000
2 Al 0.0000 0.0000 0.5000
3 B 0.2017 0.5000 0.2481
4 B 0.2017 0.5000 0.7519
5 B 0.5000 0.2017 0.2481
6 B 0.5000 0.2017 0.7519
7 B 0.5000 0.5000 0.0996
8 B 0.5000 0.5000 0.3984
9 B 0.5000 0.5000 0.6016
10 B 0.5000 0.5000 0.9004
11 B 0.5000 0.7983 0.2481
12 B 0.5000 0.7983 0.7519
13 B 0.7983 0.5000 0.2481
14 B 0.7983 0.5000 0.7519

The 10 most intense peaks (2θ from 15° to 90°), most intense first:
d/Å, Position (°2θ), I (rel.)
2.952, 30.3, 100
3.733, 23.8, 45
2.411, 37.3, 44
4.175, 21.3, 36
1.866, 48.8, 31
1.392, 67.3, 29
2.781, 32.2, 21
2.025, 44.8, 18
1.871, 48.7, 16
2.085, 43.4, 15

=====

No. 4
Simulated powder X-ray diffraction pattern of La2AlBPt6 for Cu Kα (weighted mean of Kα1 and Kα2), from a cell relaxed with GGA-PBE.
No peak broadening, texture or thermal motion is included.

Structure:
Unit cell a=6.7623 b=6.7623 c=6.7623 alpha=128.28 beta=128.28 gamma=76.18
Fractional positions:
1 La 0.0000 0.5000 0.5000
2 La 0.5000 0.0000 0.5000
3 Al 0.3465 0.3465 0.0000
4 B 0.8553 0.8553 0.0000
5 Pt 0.0561 0.0561 0.0000
6 Pt 0.5139 0.5139 0.5266
7 Pt 0.5139 0.9873 0.0000
8 Pt 0.5666 0.5666 0.0000
9 Pt 0.9873 0.5139 0.0000
10 Pt 0.9873 0.9873 0.4734

The 10 most intense peaks (2θ from 15° to 90°), most intense first:
d/Å, Position (°2θ), I (rel.)
2.580, 34.8, 100
2.086, 43.4, 33
1.280, 74.0, 21
2.661, 33.7, 19
1.642, 56.0, 18
1.976, 45.9, 11
1.475, 63.0, 11
2.244, 40.2, 9
5.322, 16.7, 9
1.520, 60.9, 9

=====

No. 5
Simulated powder X-ray diffraction pattern of LiAlB4 for Cu Kα (weighted mean of Kα1 and Kα2), from a cell relaxed with GGA-PBE.
No peak broadening, texture or thermal motion is included.

Structure:
Unit cell a=5.6408 b=5.6408 c=5.6408 alpha=148.08 beta=148.08 gamma=45.77
Fractional positions:
1 Li 0.0000 0.0000 0.0000
2 Al 0.2500 0.7500 0.5000
3 B 0.4161 0.4161 0.0000
4 B 0.5839 0.5839 0.0000
5 B 0.6644 0.1644 0.5000
6 B 0.8356 0.3356 0.5000

The 10 most intense peaks (2θ from 15° to 90°), most intense first:
d/Å, Position (°2θ), I (rel.)
2.021, 44.8, 100
5.197, 17.1, 74
2.311, 39.0, 56
1.727, 53.0, 52
2.973, 30.1, 36
1.551, 59.6, 34
1.154, 83.8, 27
1.339, 70.3, 20
1.288, 73.5, 17
2.194, 41.1, 14

=====

Number 4 is which compound? La2AlBPt6